The following is a simulated powder X-ray diffraction pattern of Ce3InPd6. It was derived from DFT lattice parameters and positions (GGA-PBE), using Cu Kα.

The 8 most intense peaks (10° ≤ 2θ ≤ 80°), most intense first:
hkl	d [Å]	I/Imax
1 3 1	2.491	100
2 0 2	2.587	96
2 2 0	2.842	39
0 0 3	2.031	38
3 0 0	3.282	36
4 1 0	2.148	32
2 3 2	1.813	27
3 2 1	2.117	22

Crystal structure
a b c (Å): 11.3686 11.3686 6.0828
angles (deg): 90.00 90.00 120.00
Space group R3m (No. 160, hexagonal axes)
One atom of each set of equivalent atoms:
Ce 0.2103 0.4207 0.0000 [9 per cell]
In 0.0000 0.0000 0.6468 [3 per cell]
Pd 0.0809 0.1618 0.0030 [9 per cell]
Pd 0.1742 0.3483 0.4623 [9 per cell]

---

The following is a simulated powder X-ray diffraction pattern of SiOsCN. It was derived from DFT lattice parameters and positions (GGA-PBE), using Cu Kα.

The 8 most intense peaks (10° ≤ 2θ ≤ 80°), most intense first:
hkl	d [Å]	I/Imax
0 0 1	5.961	100
1 0 1	2.290	95
1 0 0	2.480	55
1 0 2	1.906	48
0 0 2	2.980	38
0 1 3	1.551	35
1 1 2	1.291	18
1 1 0	1.432	16

Crystal structure
a b c (Å): 2.8636 2.8636 5.9607
angles (deg): 90.00 90.00 120.00
Space group P3m1 (No. 156)
One atom of each set of equivalent atoms:
Si 0.0000 0.0000 0.0000 [1 per cell]
Os 0.3333 0.6667 0.4885 [1 per cell]
C 0.0000 0.0000 0.6938 [1 per cell]
N 0.3333 0.6667 0.1114 [1 per cell]

---

The following is a simulated powder X-ray diffraction pattern of CdSbTe2C. It was derived from DFT lattice parameters and positions (GGA-PBE), using Cu Kα.

The 8 most intense peaks (10° ≤ 2θ ≤ 80°), most intense first:
hkl	d [Å]	I/Imax
1 1 1	2.812	100
2 0 0	2.471	38
3 1 1	1.484	28
2 0 2	1.710	24
0 0 2	2.368	17
2 2 0	1.747	13
1 1 3	1.439	13
2 2 2	1.406	12

Crystal structure
a b c (Å): 4.942 4.942 4.737
angles (deg): 90.00 90.00 90.00
Space group P4/mmm (No. 123)
One atom of each set of equivalent atoms:
Cd 0.000 0.000 0.000 [1 per cell]
Sb 0.500 0.500 0.000 [1 per cell]
Te 0.000 0.500 0.500 [2 per cell]
C 0.500 0.500 0.500 [1 per cell]

---

The following is a simulated powder X-ray diffraction pattern of Pm4Pr4Dy5. It was derived from DFT lattice parameters and positions (GGA-PBE), using Cu Kα.

The 8 most intense peaks (10° ≤ 2θ ≤ 80°), most intense first:
hkl	d [Å]	I/Imax
3 2 1	2.964	100
1 5 0	2.572	34
8 1 1	1.550	29
1 5 2	1.813	24
0 0 2	2.557	17
3 2 3	1.543	14
6 4 2	1.482	12
6 4 0	1.819	12

Crystal structure
a b c (Å): 13.113 13.113 5.114
angles (deg): 90.00 90.00 90.00
Space group I4/m (No. 87)
One atom of each set of equivalent atoms:
Pm 0.152 0.772 0.000 [8 per cell]
Pr 0.079 0.383 0.000 [8 per cell]
Dy 0.000 0.000 0.000 [2 per cell]
Dy 0.039 0.189 0.500 [8 per cell]

---

The following is a simulated powder X-ray diffraction pattern of PmDyMg. It was derived from DFT lattice parameters and positions (GGA-PBE), using Cu Kα.

The 8 most intense peaks (10° ≤ 2θ ≤ 80°), most intense first:
hkl	d [Å]	I/Imax
1 0 3	2.821	100
1 1 0	2.618	42
1 0 1	3.562	34
2 1 3	1.548	33
1 1 6	1.674	20
0 0 2	6.534	17
2 0 0	1.851	15
1 1 4	2.043	12

Crystal structure
a b c (Å): 3.703 3.703 13.067
angles (deg): 90.00 90.00 90.00
Space group I4mm (No. 107)
One atom of each set of equivalent atoms:
Pm 0.000 0.000 0.000 [2 per cell]
Dy 0.000 0.000 0.317 [2 per cell]
Mg 0.000 0.000 0.662 [2 per cell]

---

The following is a simulated powder X-ray diffraction pattern of La2Ga13. It was derived from DFT lattice parameters and positions (GGA-PBE), using Cu Kα.

The 8 most intense peaks (10° ≤ 2θ ≤ 80°), most intense first:
hkl	d [Å]	I/Imax
0 2 4	2.724	100
2 0 5	2.577	81
0 2 7	2.277	77
2 0 11	1.769	73
0 2 1	3.039	70
2 1 4	2.159	59
3 0 3	1.978	54
0 1 8	2.679	45

Crystal structure
a b c (Å): 7.0755 7.0755 23.8251
angles (deg): 90.00 90.00 120.00
Space group R-3m (No. 166, hexagonal axes)
One atom of each set of equivalent atoms:
La 0.0000 0.0000 0.2226 [6 per cell]
Ga 0.0000 0.0000 0.0000 [3 per cell]
Ga 0.0639 0.5320 0.7786 [18 per cell]
Ga 0.0940 0.5470 0.0451 [18 per cell]

---

The following is a simulated powder X-ray diffraction pattern of TbPr3Sc2. It was derived from DFT lattice parameters and positions (GGA-PBE), using Cu Kα.

The 8 most intense peaks (10° ≤ 2θ ≤ 80°), most intense first:
hkl	d [Å]	I/Imax
0 0 4	2.815	100
3 0 -3	2.852	81
3 0 1	2.742	74
1 1 -3	2.602	41
1 1 1	3.029	40
0 1 2	2.952	38
2 1 1	2.576	37
1 1 0	3.244	36

Crystal structure
a b c (Å): 9.670 3.467 11.864
angles (deg): 90.00 108.35 90.00
Space group P2_1/m (No. 11)
One atom of each set of equivalent atoms:
Tb 0.146 0.250 0.128 [2 per cell]
Pr 0.204 0.750 0.884 [2 per cell]
Pr 0.281 0.750 0.631 [2 per cell]
Pr 0.385 0.750 0.371 [2 per cell]
Sc 0.028 0.750 0.355 [2 per cell]
Sc 0.485 0.750 0.119 [2 per cell]

---

The following is a simulated powder X-ray diffraction pattern of Al2Re3. It was derived from DFT lattice parameters and positions (GGA-PBE), using Cu Kα.

The 8 most intense peaks (10° ≤ 2θ ≤ 80°), most intense first:
hkl	d [Å]	I/Imax
0 1 5	2.276	100
1 0 10	1.952	63
0 0 6	5.480	58
0 0 15	2.192	30
1 1 0	1.400	22
1 0 1	2.419	21
0 1 20	1.361	19
1 0 4	2.326	17

Crystal structure
a b c (Å): 2.8009 2.8009 32.8804
angles (deg): 90.00 90.00 120.00
Space group R-3m (No. 166, hexagonal axes)
One atom of each set of equivalent atoms:
Al 0.0000 0.0000 0.0986 [6 per cell]
Re 0.0000 0.0000 0.3013 [6 per cell]
Re 0.0000 0.0000 0.5000 [3 per cell]

---

What is the formula in the fourth record?
Pm4Pr4Dy5